[1]
Starting from a structure optimized by DFT (GGA-PBE), the X-ray diffraction stick pattern of Th2MnTe was simulated for copper Kα.

```
data_Th2MnTe
_chemical_formula_sum 'Th6 Mn3 Te3'
_symmetry_space_group_name_H-M 'R -3 m'
_symmetry_Int_Tables_number 166
_symmetry_space_group_name_Hall '-R 3 2"'
_cell_length_a 3.7325
_cell_length_b 3.7325
_cell_length_c 29.0000
_cell_angle_alpha 90.00
_cell_angle_beta 90.00
_cell_angle_gamma 120.00
loop_
_atom_site_label
_atom_site_type_symbol
_atom_site_fract_x
_atom_site_fract_y
_atom_site_fract_z
_atom_site_occupancy
Th1 Th 0.0000 0.0000 0.0843 1
Mn1 Mn 0.0000 0.0000 0.0000 1
Te1 Te 0.0000 0.0000 0.5000 1
```

The 10 most intense peaks (10° ≤ 2θ ≤ 90°), low angle first:
hkl 0 0 6, 2θ 18.36, d = 4.833 Å, rel. 39.1; hkl 1 0 1, 2θ 27.77, d = 3.213 Å, rel. 66.0; hkl 0 1 2, 2θ 28.29, d = 3.155 Å, rel. 100.0; hkl 0 1 5, 2θ 31.69, d = 2.824 Å, rel. 98.8; hkl 1 0 7, 2θ 35.22, d = 2.548 Å, rel. 69.9; hkl 0 0 12, 2θ 37.21, d = 2.417 Å, rel. 39.9; hkl 1 0 10, 2θ 41.85, d = 2.159 Å, rel. 39.9; hkl 1 1 0, 2θ 48.80, d = 1.866 Å, rel. 55.7; hkl 0 1 14, 2θ 52.52, d = 1.742 Å, rel. 32.7; hkl 1 1 12, 2θ 62.92, d = 1.477 Å, rel. 52.1

***

[2]
Starting from a structure optimized by DFT (GGA-PBE), the X-ray diffraction stick pattern of Y2ErZrSc4 was simulated for copper Kα.

```
data_Y2ErZrSc4
_chemical_formula_sum 'Y2 Er1 Zr1 Sc4'
_symmetry_space_group_name_H-M 'P m m m'
_symmetry_Int_Tables_number 47
_cell_length_a 4.777
_cell_length_b 4.798
_cell_length_c 9.300
_cell_angle_alpha 90.00
_cell_angle_beta 90.00
_cell_angle_gamma 90.00
loop_
_symmetry_equiv_pos_as_xyz
'x,y,z'
'-x,-y,-z'
'-x,-y,z'
'x,y,-z'
'x,-y,-z'
'-x,y,z'
'-x,y,-z'
'x,-y,z'
loop_
_atom_site_label
_atom_site_type_symbol
_atom_site_fract_x
_atom_site_fract_y
_atom_site_fract_z
_atom_site_occupancy
Y1 Y 0.000 0.000 0.000 1
Y2 Y 0.500 0.500 0.500 1
Er1 Er 0.000 0.000 0.500 1
Zr1 Zr 0.500 0.500 0.000 1
Sc1 Sc 0.000 0.500 0.239 1
Sc2 Sc 0.500 0.000 0.239 1
```

The 10 most intense peaks (10° ≤ 2θ ≤ 90°), low angle first:
hkl 0 0 2, 2θ 19.09, d = 4.650 Å, rel. 16.6; hkl 1 1 0, 2θ 26.33, d = 3.385 Å, rel. 15.3; hkl 1 1 2, 2θ 32.72, d = 2.737 Å, rel. 100.0; hkl 0 2 0, 2θ 37.49, d = 2.399 Å, rel. 17.2; hkl 2 0 0, 2θ 37.66, d = 2.389 Å, rel. 16.9; hkl 0 0 4, 2θ 38.73, d = 2.325 Å, rel. 15.6; hkl 2 2 0, 2θ 54.19, d = 1.693 Å, rel. 11.4; hkl 1 3 2, 2θ 64.64, d = 1.442 Å, rel. 13.0; hkl 3 1 2, 2θ 64.87, d = 1.437 Å, rel. 12.8; hkl 1 1 6, 2θ 66.32, d = 1.409 Å, rel. 11.5